1.
The following is a simulated powder diffractogram of La6PmZn5. It was derived from a PBE-relaxed structure, using Cu Kα (weighted mean of Kα1 and Kα2).

Structural model:
```
La6PmZn5
1.0
5.3174 0.0000 0.0000
0.0000 7.6885 0.0000
-2.6618 0.0000 8.1603
La Pm Zn
6 1 5
direct
0.0000 0.2188 0.0000 La
0.0000 0.7812 0.0000 La
0.3249 0.2450 0.6473 La
0.3249 0.7550 0.6473 La
0.6751 0.2450 0.3527 La
0.6751 0.7550 0.3527 La
0.5000 0.5000 0.0000 Pm
0.1485 0.5000 0.3004 Zn
0.1656 0.0000 0.3357 Zn
0.5000 0.0000 0.0000 Zn
0.8344 0.0000 0.6643 Zn
0.8515 0.5000 0.6996 Zn
```

Top 6 peaks for 10° ≤ 2θ ≤ 90°, by angle:
2θ/deg	I (rel.)
32.93	24
33.14	100
33.71	25
47.84	17
58.88	16
59.93	18



2.
The following is a simulated powder diffractogram of Zr3Co6Ge5. It was derived from a PBE-relaxed structure, using Cu Kα (weighted mean of Kα1 and Kα2).

Structural model:
```
Zr3Co6Ge5
1.0
3.8438 0.0000 0.0000
0.0000 11.8392 0.0000
0.0000 0.0000 8.9244
Zr Co Ge
6 12 10
direct
0.2500 0.0772 0.2432 Zr
0.2500 0.4228 0.2432 Zr
0.2500 0.7500 0.2518 Zr
0.7500 0.2500 0.7482 Zr
0.7500 0.5772 0.7568 Zr
0.7500 0.9228 0.7568 Zr
0.2500 0.0587 0.5872 Co
0.2500 0.2500 0.4875 Co
0.2500 0.2500 0.9993 Co
0.2500 0.4413 0.5872 Co
0.2500 0.5838 0.0002 Co
0.2500 0.9162 0.0002 Co
0.7500 0.0838 0.9998 Co
0.7500 0.4162 0.9998 Co
0.7500 0.5587 0.4128 Co
0.7500 0.7500 0.0007 Co
0.7500 0.7500 0.5125 Co
0.7500 0.9413 0.4128 Co
0.2500 0.0850 0.8477 Ge
0.2500 0.4150 0.8477 Ge
0.2500 0.6318 0.5315 Ge
0.2500 0.7500 0.8427 Ge
0.2500 0.8682 0.5315 Ge
0.7500 0.1318 0.4685 Ge
0.7500 0.2500 0.1573 Ge
0.7500 0.3682 0.4685 Ge
0.7500 0.5850 0.1523 Ge
0.7500 0.9150 0.1523 Ge
```

Top 6 peaks for 10° ≤ 2θ ≤ 90°, by angle:
2θ/deg	I (rel.)
32.52	15
37.87	21
38.26	34
38.41	100
46.00	22
47.30	35